Tb2PuReN4: computed powder diffractogram (λ = 1.5418 Å (Cu Kα)), based on the PBE geometry in Alexandria.

Top 10 peaks for 2θ from 10° to 80°, low angle first:
2θ/deg  I_rel
27.4  22
30.5  47
30.6  58
31.3  100
35.8  18
38.3  87
43.7  33
49.8  24
63.1  28
64.1  18

Structure:
Cell lengths 3.410, 11.677, 11.742 Å; angles 90.00, 90.00, 90.00 degrees
Space group Cmcm (No. 63)
Inequivalent atoms, fractional coordinates:
Tb (0.000, 0.131, 0.039) [8 per cell]
Pu (0.000, 0.383, 0.250) [4 per cell]
Re (0.000, 0.356, 0.750) [4 per cell]
N (0.000, 0.054, 0.250) [4 per cell]
N (0.000, 0.233, 0.631) [8 per cell]
N (0.000, 0.500, 0.000) [4 per cell]